Record 1
The following is a calculated powder X-ray diffraction pattern of Ta4FeCoC2. It was derived from the GGA-PBE geometry in OQMD, using Cu Kα.
Peak positions follow from Bragg's law for the DFT cell and can differ from measured ones.

Most intense lines, 2θ from 10° to 90°, most intense first:
39.8 deg, rel. 100, (1 0 3); 33.7 deg, rel. 25, (1 0 0); 74.7 deg, rel. 23, (2 0 3); 60.3 deg, rel. 22, (1 1 0); 34.4 deg, rel. 20, (1 0 1); 27.4 deg, rel. 16, (0 0 4); 75.9 deg, rel. 15, (1 1 6); 41.6 deg, rel. 15, (0 0 6); 60.8 deg, rel. 14, (1 0 7); 54.6 deg, rel. 11, (1 0 6); 67.4 deg, rel. 9, (1 1 4); 44.0 deg, rel. 9, (1 0 4)

Structure:
a = 3.0702 Å, b = 3.0702 Å, c = 13.0261 Å
α = 90.00°, β = 90.00°, γ = 120.00°
Space group P-6m2 (No. 187)
Symmetry-distinct sites (fractional):
Ta: 0.0000 0.0000 0.1513 [2 per cell]
Ta: 0.3333 0.6667 0.3493 [2 per cell]
Fe: 0.3333 0.6667 0.0000 [1 per cell]
Co: 0.0000 0.0000 0.5000 [1 per cell]
C: 0.6667 0.3333 0.2503 [2 per cell]

---

Record 2
The following is a calculated powder X-ray diffraction pattern of DyYFe2Br2. It was derived from the GGA-PBE geometry in OQMD, using Cu Kα.
Peak positions follow from Bragg's law for the DFT cell and can differ from measured ones.

Most intense lines, 2θ from 10° to 90°, most intense first:
35.5 deg, rel. 100, (0 1 3); 30.9 deg, rel. 42, (0 1 2); 47.2 deg, rel. 41, (1 1 0); 27.8 deg, rel. 35, (0 1 1); 68.7 deg, rel. 25, (1 1 6); 60.4 deg, rel. 21, (2 0 3); 80.0 deg, rel. 18, (1 2 3); 46.9 deg, rel. 14, (0 0 6); 41.2 deg, rel. 13, (1 0 4); 47.7 deg, rel. 11, (1 0 5); 15.3 deg, rel. 10, (0 0 2); 79.6 deg, rel. 9, (0 1 9)

Structure:
a = 3.8536 Å, b = 3.8536 Å, c = 11.6189 Å
α = 90.00°, β = 90.00°, γ = 120.00°
Space group P3m1 (No. 156)
Symmetry-distinct sites (fractional):
Dy: 0.0000 0.0000 0.0000 [1 per cell]
Y: 0.0000 0.0000 0.3390 [1 per cell]
Fe: 0.3333 0.6667 0.1625 [1 per cell]
Fe: 0.6667 0.3333 0.1760 [1 per cell]
Br: 0.3333 0.6667 0.5044 [1 per cell]
Br: 0.6667 0.3333 0.8344 [1 per cell]

---

Record 3
The following is a calculated powder X-ray diffraction pattern of SmTmGa2I2. It was derived from the GGA-PBE geometry in OQMD, using Cu Kα.
Peak positions follow from Bragg's law for the DFT cell and can differ from measured ones.

Most intense lines, 2θ from 10° to 90°, most intense first:
33.0 deg, rel. 100, (1 0 3); 43.0 deg, rel. 47, (1 1 0); 28.5 deg, rel. 43, (1 0 2); 25.5 deg, rel. 38, (1 0 1); 63.6 deg, rel. 23, (1 1 6); 55.2 deg, rel. 23, (0 2 3); 72.4 deg, rel. 20, (2 1 3); 44.7 deg, rel. 17, (0 1 5); 44.6 deg, rel. 11, (0 0 6); 14.5 deg, rel. 11, (0 0 2); 38.5 deg, rel. 11, (0 1 4); 78.7 deg, rel. 8, (3 0 0)

Structure:
a = 4.2102 Å, b = 4.2102 Å, c = 12.2026 Å
α = 90.00°, β = 90.00°, γ = 120.00°
Space group P3m1 (No. 156)
Symmetry-distinct sites (fractional):
Sm: 0.0000 0.0000 0.0000 [1 per cell]
Tm: 0.0000 0.0000 0.6689 [1 per cell]
Ga: 0.3333 0.6667 0.8592 [1 per cell]
Ga: 0.6667 0.3333 0.8034 [1 per cell]
I: 0.3333 0.6667 0.5076 [1 per cell]
I: 0.6667 0.3333 0.1678 [1 per cell]

---

Record 4
The following is a calculated powder X-ray diffraction pattern of HfOF2. It was derived from the GGA-PBE geometry in OQMD, using Cu Kα.
Peak positions follow from Bragg's law for the DFT cell and can differ from measured ones.

Most intense lines, 2θ from 10° to 90°, most intense first:
31.0 deg, rel. 100, (2 1 1); 14.4 deg, rel. 82, (2 0 0); 31.8 deg, rel. 55, (4 2 0); 14.6 deg, rel. 51, (1 2 0); 35.2 deg, rel. 43, (2 5 0); 56.6 deg, rel. 43, (4 6 1); 20.3 deg, rel. 35, (1 3 0); 37.1 deg, rel. 35, (0 4 1); 25.4 deg, rel. 34, (0 4 0); 29.0 deg, rel. 32, (3 3 0); 29.3 deg, rel. 29, (2 4 0); 12.6 deg, rel. 28, (0 2 0)

Structure:
a = 12.2909 Å, b = 14.0138 Å, c = 3.3573 Å
α = 90.00°, β = 90.00°, γ = 90.00°
Space group Pbam (No. 55)
Symmetry-distinct sites (fractional):
Hf: 0.1245 0.1723 0.0000 [4 per cell]
Hf: 0.1506 0.7453 0.5000 [4 per cell]
Hf: 0.2224 0.5063 0.5000 [4 per cell]
O: 0.1855 0.0308 0.0000 [4 per cell]
O: 0.2292 0.1458 0.5000 [4 per cell]
O: 0.2376 0.7629 0.0000 [4 per cell]
F: 0.0340 0.1103 0.5000 [4 per cell]
F: 0.0399 0.7684 0.0000 [4 per cell]
F: 0.0840 0.6055 0.5000 [4 per cell]
F: 0.0980 0.2746 0.5000 [4 per cell]
F: 0.1321 0.4520 0.0000 [4 per cell]
F: 0.1781 0.8895 0.5000 [4 per cell]

---

Question: Number 3 is which compound?
Answer: SmTmGa2I2

---

Please write out number 4 again, unchanged.
The following is a calculated powder X-ray diffraction pattern of HfOF2. It was derived from the GGA-PBE geometry in OQMD, using Cu Kα.
Peak positions follow from Bragg's law for the DFT cell and can differ from measured ones.

Most intense lines, 2θ from 10° to 90°, most intense first:
31.0 deg, rel. 100, (2 1 1); 14.4 deg, rel. 82, (2 0 0); 31.8 deg, rel. 55, (4 2 0); 14.6 deg, rel. 51, (1 2 0); 35.2 deg, rel. 43, (2 5 0); 56.6 deg, rel. 43, (4 6 1); 20.3 deg, rel. 35, (1 3 0); 37.1 deg, rel. 35, (0 4 1); 25.4 deg, rel. 34, (0 4 0); 29.0 deg, rel. 32, (3 3 0); 29.3 deg, rel. 29, (2 4 0); 12.6 deg, rel. 28, (0 2 0)

Structure:
a = 12.2909 Å, b = 14.0138 Å, c = 3.3573 Å
α = 90.00°, β = 90.00°, γ = 90.00°
Space group Pbam (No. 55)
Symmetry-distinct sites (fractional):
Hf: 0.1245 0.1723 0.0000 [4 per cell]
Hf: 0.1506 0.7453 0.5000 [4 per cell]
Hf: 0.2224 0.5063 0.5000 [4 per cell]
O: 0.1855 0.0308 0.0000 [4 per cell]
O: 0.2292 0.1458 0.5000 [4 per cell]
O: 0.2376 0.7629 0.0000 [4 per cell]
F: 0.0340 0.1103 0.5000 [4 per cell]
F: 0.0399 0.7684 0.0000 [4 per cell]
F: 0.0840 0.6055 0.5000 [4 per cell]
F: 0.0980 0.2746 0.5000 [4 per cell]
F: 0.1321 0.4520 0.0000 [4 per cell]
F: 0.1781 0.8895 0.5000 [4 per cell]